[1]
Calculated X-ray diffraction stick pattern
Compound: RbCr5S8
Radiation: Cu Kα (λ = 1.5418 Å)
Structure: a cell relaxed with GGA-PBE
Intensities are scaled so that the largest is 1000.

Largest 6 diffraction maxima, most intense first, 10 to 90 degrees two-theta:
33.32°, rel. 1000
41.16°, rel. 641
53.53°, rel. 628
34.60°, rel. 612
20.72°, rel. 572
47.31°, rel. 508

Cell and atoms:
```
RbCr5S8
1.0
8.863 -1.733 0.000
8.863 1.733 0.000
-2.223 0.000 8.466
Rb Cr S
1 5 8
Direct
0.000 0.000 0.000
0.155 0.155 0.490
0.206 0.206 0.828
0.507 0.507 0.499
0.796 0.796 0.166
0.842 0.842 0.521
0.075 0.075 0.662
0.260 0.260 0.347
0.330 0.330 0.015
0.415 0.415 0.664
0.591 0.591 0.328
0.673 0.673 0.984
0.739 0.739 0.655
0.927 0.927 0.352
```

=====

[2]
Calculated X-ray diffraction stick pattern
Compound: RbCr5Te8
Radiation: Cu Kα (λ = 1.5418 Å)
Structure: a cell relaxed with GGA-PBE
Intensities are scaled so that the largest is 1000.

Largest 6 diffraction maxima, most intense first, 10 to 90 degrees two-theta:
28.65°, rel. 1000
30.11°, rel. 540
45.71°, rel. 397
28.94°, rel. 339
41.40°, rel. 259
30.79°, rel. 246

Cell and atoms:
```
RbCr5Te8
1.0
10.248 -2.025 0.000
10.248 2.025 0.000
-2.383 0.000 9.362
Rb Cr Te
1 5 8
Direct
0.000 0.000 0.000
0.159 0.159 0.486
0.204 0.204 0.831
0.500 0.500 0.500
0.796 0.796 0.169
0.841 0.841 0.514
0.073 0.073 0.661
0.261 0.261 0.343
0.329 0.329 0.009
0.411 0.411 0.669
0.589 0.589 0.331
0.671 0.671 0.991
0.739 0.739 0.657
0.927 0.927 0.339
```

=====

[3]
Calculated X-ray diffraction stick pattern
Compound: Rb3Cr20Te32
Radiation: Cu Kα (λ = 1.5418 Å)
Structure: a cell relaxed with GGA-PBE
Intensities are scaled so that the largest is 1000.

Largest 6 diffraction maxima, most intense first, 10 to 90 degrees two-theta:
29.05°, rel. 1000
28.63°, rel. 783
30.11°, rel. 749
45.88°, rel. 533
31.20°, rel. 292
45.30°, rel. 284

Cell and atoms:
```
Rb3Cr20Te32
1.0
11.141 0.000 0.000
-2.536 11.611 0.000
-2.515 -6.424 11.865
Rb Cr Te
3 20 32
Direct
0.000 0.000 0.000
0.255 0.000 0.255
0.745 0.000 0.745
0.070 0.464 0.236
0.117 0.162 0.626
0.125 0.500 0.625
0.133 0.837 0.623
0.181 0.537 0.014
0.321 0.464 0.487
0.368 0.162 0.876
0.375 0.500 0.875
0.381 0.837 0.873
0.430 0.538 0.264
0.570 0.462 0.736
0.619 0.163 0.127
0.625 0.500 0.125
0.632 0.838 0.124
0.679 0.536 0.513
0.819 0.463 0.986
0.867 0.163 0.377
0.875 0.500 0.375
0.883 0.838 0.374
0.930 0.536 0.764
0.004 0.659 0.993
0.107 0.402 0.776
0.108 0.064 0.773
0.119 0.739 0.772
0.131 0.261 0.478
0.142 0.935 0.477
0.143 0.597 0.473
0.247 0.342 0.257
0.254 0.658 0.243
0.358 0.403 0.027
0.359 0.064 0.023
0.369 0.739 0.022
0.381 0.262 0.729
0.391 0.935 0.726
0.393 0.597 0.723
0.497 0.342 0.508
0.503 0.658 0.492
0.607 0.403 0.277
0.609 0.065 0.274
0.619 0.738 0.271
0.631 0.261 0.978
0.641 0.936 0.977
0.642 0.597 0.973
0.746 0.342 0.757
0.753 0.658 0.743
0.857 0.403 0.527
0.858 0.065 0.523
0.869 0.739 0.522
0.881 0.261 0.228
0.892 0.936 0.227
0.893 0.598 0.224
0.996 0.341 0.007
```

=====

[4]
Calculated X-ray diffraction stick pattern
Compound: RbCr15Te24
Radiation: Cu Kα (λ = 1.5418 Å)
Structure: a cell relaxed with GGA-PBE
Intensities are scaled so that the largest is 1000.

Largest 6 diffraction maxima, most intense first, 10 to 90 degrees two-theta:
29.02°, rel. 1000
30.55°, rel. 477
45.86°, rel. 382
28.64°, rel. 241
30.66°, rel. 223
34.47°, rel. 192

Cell and atoms:
```
RbCr15Te24
1.0
10.419 0.000 0.000
0.023 11.844 0.000
4.553 5.905 9.232
Rb Cr Te
1 15 24
Direct
0.000 0.000 0.000
0.166 0.260 0.150
0.167 0.594 0.814
0.167 0.925 0.483
0.486 0.338 0.346
0.487 0.005 0.679
0.487 0.669 0.014
0.499 0.666 0.334
0.500 0.000 0.000
0.501 0.334 0.666
0.513 0.331 0.986
0.513 0.995 0.321
0.514 0.662 0.654
0.833 0.075 0.517
0.833 0.406 0.186
0.834 0.740 0.850
0.005 0.006 0.337
0.005 0.340 0.003
0.005 0.672 0.669
0.329 0.521 0.302
0.330 0.189 0.633
0.331 0.854 0.968
0.336 0.852 0.295
0.337 0.186 0.961
0.337 0.519 0.628
0.342 0.187 0.293
0.342 0.520 0.960
0.342 0.854 0.626
0.658 0.146 0.374
0.658 0.480 0.040
0.658 0.813 0.707
0.663 0.481 0.372
0.663 0.814 0.039
0.664 0.148 0.705
0.669 0.146 0.032
0.670 0.811 0.367
0.671 0.479 0.698
0.995 0.328 0.331
0.995 0.660 0.997
0.995 0.994 0.663
```

=====

[5]
Calculated X-ray diffraction stick pattern
Compound: CrRe3
Radiation: Cu Kα (λ = 1.5418 Å)
Structure: a cell relaxed with GGA-PBE
Intensities are scaled so that the largest is 1000.

Largest 6 diffraction maxima, most intense first, 10 to 90 degrees two-theta:
40.44°, rel. 1000
47.04°, rel. 487
82.87°, rel. 381
68.72°, rel. 314
23.02°, rel. 143
32.78°, rel. 121

Cell and atoms:
```
CrRe3
1.0
3.864 0.000 0.000
0.000 3.864 0.000
0.000 0.000 3.864
Cr Re
1 3
Direct
0.000 0.000 0.000
0.000 0.500 0.500
0.500 0.000 0.500
0.500 0.500 0.000
```

=====

[6]
Calculated X-ray diffraction stick pattern
Compound: V2CrRe
Radiation: Cu Kα (λ = 1.5418 Å)
Structure: a cell relaxed with GGA-PBE
Intensities are scaled so that the largest is 1000.

Largest 6 diffraction maxima, most intense first, 10 to 90 degrees two-theta:
42.85°, rel. 1000
25.85°, rel. 371
78.49°, rel. 315
29.94°, rel. 218
50.72°, rel. 195
62.20°, rel. 158

Cell and atoms:
```
V2CrRe
1.0
5.970 0.000 0.000
0.000 5.970 0.000
0.000 0.000 5.970
V Cr Re
8 4 4
Direct
0.250 0.250 0.250
0.250 0.250 0.750
0.250 0.750 0.250
0.250 0.750 0.750
0.750 0.250 0.250
0.750 0.250 0.750
0.750 0.750 0.250
0.750 0.750 0.750
0.000 0.000 0.000
0.000 0.500 0.500
0.500 0.000 0.500
0.500 0.500 0.000
0.000 0.000 0.500
0.000 0.500 0.000
0.500 0.000 0.000
0.500 0.500 0.500
```